(1)
Starting from the PBE geometry in Alexandria, the X-ray powder pattern of Ho2NpN4 was computed for CuKα.
No peak broadening, texture or thermal motion is included.

Principal peaks in the range 2θ = 10–90°, low angle first:
hkl  two_theta  I (rel.)
1 1 0  17.89  17
2 0 0  30.92  33
1 1 1  31.23  100
0 2 1  31.56  55
1 3 0  31.91  92
2 1 1  41.54  21
2 2 1  44.77  43
0 0 2  52.12  17
1 5 1  56.85  32
1 3 2  62.43  28

Cell: 5.7842 9.6187 3.5094 Å, 90.00 90.00 90.00°
Space group Pbam (No. 55)
Inequivalent atoms, fractional coordinates:
Ho1 0.0676 0.1778 0.0000 [4 per cell]
Np1 0.0000 0.5000 0.5000 [2 per cell]
N1 0.1410 0.6947 0.5000 [4 per cell]
N2 0.2308 0.4539 0.0000 [4 per cell]



(2)
Starting from the PBE geometry in Alexandria, the X-ray powder pattern of RbCoH3 was computed for CuKα.
No peak broadening, texture or thermal motion is included.

Principal peaks in the range 2θ = 10–90°, low angle first:
hkl  two_theta  I (rel.)
0 0 3  21.14  9
1 1 0  30.86  100
1 0 4  33.57  64
1 1 3  37.71  13
0 2 4  46.24  25
3 0 0  54.88  18
2 1 4  56.63  27
2 2 0  64.30  11
1 3 4  74.53  12
4 1 0  89.49  9

Cell: 5.7948 5.7948 12.6083 Å, 90.00 90.00 120.00°
Space group R3m (No. 160, hexagonal axes)
Inequivalent atoms, fractional coordinates:
Rb1 0.0000 0.0000 0.0000 [3 per cell]
Rb2 0.0000 0.0000 0.2564 [3 per cell]
Co1 0.0000 0.0000 0.5430 [3 per cell]
Co2 0.0000 0.0000 0.7393 [3 per cell]
H1 0.0070 0.5035 0.1436 [9 per cell]
H2 0.2107 0.1054 0.6326 [9 per cell]



(3)
Starting from the PBE geometry in Alexandria, the X-ray powder pattern of Sm4DyTm10 was computed for CuKα.
No peak broadening, texture or thermal motion is included.

Principal peaks in the range 2θ = 10–90°, low angle first:
hkl  two_theta  I (rel.)
2 1 1  20.11  23
1 3 0  23.26  17
4 2 0  33.13  100
5 0 1  39.06  12
2 6 0  47.56  18
6 3 1  52.13  5
7 1 0  53.59  7
7 1 2  59.19  38
8 4 0  69.54  12
10 0 0  79.22  17

Cell: 12.0927 12.0927 7.6463 Å, 90.00 90.00 90.00°
Space group I4/m (No. 87)
Inequivalent atoms, fractional coordinates:
Sm1 0.1007 0.2990 0.0000 [8 per cell]
Dy1 0.0000 0.0000 0.5000 [2 per cell]
Tm1 0.0000 0.5000 0.2500 [4 per cell]
Tm2 0.0989 0.8006 0.2513 [16 per cell]